This entry pairs a crystal structure of IrPt5Rh2 with its calculated powder diffraction line list. Radiation: copper Kα. Structure: a cell relaxed with PBE.
Intensities are scaled so that the largest is 100.

Most intense lines, 2θ from 5° to 70°, low angle first:
- 37.16°, rel. 44, (1 0 -4)
- 37.40°, rel. 43, (1 1 5)
- 38.48°, rel. 77, (1 -2 1)
- 39.01°, rel. 92, (2 3 1)
- 40.18°, rel. 38, (2 3 0)
- 40.40°, rel. 36, (0 2 4)
- 40.62°, rel. 100, (1 3 -1)
- 40.90°, rel. 67, (3 2 1)
- 42.30°, rel. 97, (0 1 -5)
- 42.67°, rel. 60, (2 2 5)

Crystal structure
abc: 6.7631 7.1839 12.1682
angles: 78.91 74.37 61.94
Sites, in units of the cell vectors:
Ir1 0.1668 0.4859 0.1507
Ir2 0.3025 0.0190 0.3513
Ir3 0.6975 0.9810 0.6487
Ir4 0.8332 0.5141 0.8493
Pt1 0.0152 0.7790 0.8657
Pt2 0.0503 0.1293 0.5547
Pt3 0.1042 0.4595 0.3782
Pt4 0.1621 0.7181 0.6340
Pt5 0.1869 0.8197 0.2283
Pt6 0.2351 0.3685 0.9473
Pt7 0.2702 0.3156 0.7287
Pt8 0.3609 0.7119 0.9981
Pt9 0.4282 0.2124 0.4957
Pt10 0.4420 0.0456 0.1233
Pt11 0.5580 0.9544 0.8767
Pt12 0.5718 0.7876 0.5043
Pt13 0.6391 0.2881 0.0019
Pt14 0.7298 0.6844 0.2713
Pt15 0.7649 0.6315 0.0527
Pt16 0.8131 0.1803 0.7717
Pt17 0.8379 0.2819 0.3660
Pt18 0.8958 0.5405 0.6218
Pt19 0.9497 0.8707 0.4453
Pt20 0.9848 0.2210 0.1343
Rh1 0.0913 0.0994 0.9142
Rh2 0.3191 0.9373 0.7128
Rh3 0.3952 0.6006 0.4134
Rh4 0.4685 0.5585 0.7895
Rh5 0.5315 0.4415 0.2105
Rh6 0.6048 0.3994 0.5866
Rh7 0.6809 0.0627 0.2872
Rh8 0.9087 0.9006 0.0858